1.
Cs5Hg19: simulated powder diffraction line list (Cu Kα X-rays), based on DFT lattice parameters and positions (PBE).
Lines closer than 0.1° are merged.

Most intense lines, 5 to 70 degrees two-theta, by angle:
d [Å], I_rel, hkl
5.458, 27, 0 0 2
3.105, 100, 3 1 2
3.007, 73, 1 2 3
2.670, 96, 2 4 0
2.212, 31, 3 1 4
2.150, 21, 5 1 2
1.996, 24, 5 0 3
1.888, 26, 6 2 0
1.639, 19, 3 1 6
1.612, 20, 5 5 2

```
data_Cs5Hg19
_space_group_name_H-M_alt 'I 4/m'
_space_group_IT_number 87
_space_group_name_Hall '-I 4'
_cell_length_a 11.9389
_cell_length_b 11.9389
_cell_length_c 10.9151
_cell_angle_alpha 90.00
_cell_angle_beta 90.00
_cell_angle_gamma 90.00
loop_
_atom_site_label
_atom_site_fract_x
_atom_site_fract_y
_atom_site_fract_z
_atom_site_occupancy
Cs1 0.0000 0.0000 0.0000 1
Cs2 0.1191 0.6744 0.5000 1
Hg1 0.0000 0.0000 0.5000 1
Hg2 0.0000 0.5000 0.2500 1
Hg3 0.0790 0.1723 0.2828 1
Hg4 0.1142 0.7040 0.1384 1
```

=====

2.
Cs3Hg20: simulated powder diffraction line list (Cu Kα X-rays), based on DFT lattice parameters and positions (PBE).
Lines closer than 0.1° are merged.

Most intense lines, 5 to 70 degrees two-theta, by angle:
d [Å], I_rel, hkl
7.833, 33, 1 1 0
3.198, 41, 2 2 2
3.072, 57, 3 2 0
2.961, 49, 3 2 1
2.769, 100, 4 0 0
2.417, 84, 4 2 1
2.362, 40, 3 3 2
2.261, 61, 4 2 2
1.797, 35, 5 3 2
1.670, 33, 6 2 2

```
data_Cs3Hg20
_space_group_name_H-M_alt 'P m -3 n'
_space_group_IT_number 223
_space_group_name_Hall '-P 4n 2 3'
_cell_length_a 11.0773
_cell_length_b 11.0773
_cell_length_c 11.0773
_cell_angle_alpha 90.00
_cell_angle_beta 90.00
_cell_angle_gamma 90.00
loop_
_atom_site_label
_atom_site_fract_x
_atom_site_fract_y
_atom_site_fract_z
_atom_site_occupancy
Cs1 0.0000 0.2500 0.5000 1
Hg1 0.0000 0.0000 0.0000 1
Hg2 0.0000 0.2564 0.1349 1
Hg3 0.0000 0.5000 0.2500 1
Hg4 0.2500 0.2500 0.2500 1
```

=====

3.
Cs2Hg3I8: simulated powder diffraction line list (Cu Kα X-rays), based on DFT lattice parameters and positions (PBE).
Lines closer than 0.1° are merged.

Most intense lines, 5 to 70 degrees two-theta, by angle:
d [Å], I_rel, hkl
7.415, 23, 0 0 1
6.748, 29, 1 1 0
3.704, 59, 0 0 2
3.615, 100, 1 5 -1
3.542, 27, 2 0 0
3.509, 29, 2 2 -1
2.898, 30, 1 5 -2
2.251, 35, 1 5 -3
2.220, 20, 0 10 0
2.175, 20, 3 5 -1

```
data_Cs2Hg3I8
_space_group_name_H-M_alt 'C 1 m 1'
_space_group_IT_number 8
_cell_length_a 7.4841
_cell_length_b 22.2077
_cell_length_c 7.8352
_cell_angle_alpha 90.00
_cell_angle_beta 108.84
_cell_angle_gamma 90.00
loop_
_space_group_symop_operation_xyz
'x,y,z'
'x,-y,z'
'x+1/2,y+1/2,z'
'x+1/2,-y+1/2,z'
loop_
_atom_site_label
_atom_site_fract_x
_atom_site_fract_y
_atom_site_fract_z
_atom_site_occupancy
Cs1 0.0000 0.1307 0.0000 1
Hg1 0.1405 0.3059 0.3709 1
Hg2 0.2697 0.5000 0.4518 1
I1 0.0349 0.4040 0.5502 1
I2 0.0503 0.1912 0.5100 1
I3 0.1170 0.0000 0.7178 1
I4 0.1814 0.5000 0.0833 1
I5 0.4957 0.1932 0.9981 1
```

=====

4.
Cs2InHgI6: simulated powder diffraction line list (Cu Kα X-rays), based on DFT lattice parameters and positions (PBE).
Lines closer than 0.1° are merged.

Most intense lines, 5 to 70 degrees two-theta, by angle:
d [Å], I_rel, hkl
6.084, 28, 2 0 0
4.302, 28, 1 1 1
3.512, 54, 2 2 0
3.042, 100, 4 0 0
2.721, 16, 3 1 1
2.484, 14, 2 0 2
2.151, 75, 2 2 2
1.834, 24, 6 2 0
1.756, 26, 4 4 0
1.360, 34, 6 2 2

```
data_Cs2InHgI6
_space_group_name_H-M_alt 'C 1 2/m 1'
_space_group_IT_number 12
_cell_length_a 14.8990
_cell_length_b 8.6051
_cell_length_c 8.6022
_cell_angle_alpha 90.00
_cell_angle_beta 125.25
_cell_angle_gamma 90.00
loop_
_space_group_symop_operation_xyz
'x,y,z'
'-x,-y,-z'
'-x,y,-z'
'x,-y,z'
'x+1/2,y+1/2,z'
'-x+1/2,-y+1/2,-z'
'-x+1/2,y+1/2,-z'
'x+1/2,-y+1/2,z'
loop_
_atom_site_label
_atom_site_fract_x
_atom_site_fract_y
_atom_site_fract_z
_atom_site_occupancy
Cs1 0.2502 0.0000 0.2500 1
In1 0.0000 0.0000 0.5000 1
Hg1 0.0000 0.5000 0.0000 1
I1 0.0006 0.2465 0.2539 1
I2 0.2467 0.0000 0.7476 1
```